Starting from DFT lattice parameters and positions (GGA-PBE), the powder X-ray diffraction pattern of CeCu2Ni9 was simulated for CuKα.
Neutral-atom scattering factors, no anomalous dispersion.

Peak list (10 most intense, 10 to 90 degrees two-theta, in order of falling intensity)
hkl	Position (°2θ)	I (rel.)
3 1 1	40.38	100
2 1 2	46.13	67
4 1 0	46.67	51
2 0 2	44.64	43
3 2 1	45.06	38
2 2 1	37.00	33
5 1 2	72.21	18
3 1 0	35.37	18
4 2 0	50.88	16
6 2 2	87.30	15

a b c (Å): 8.025 8.025 4.706
angles (deg): 90.00 90.00 90.00
Space group P4/mbm (No. 127)
Unique sites:
1 Ce 0.000 0.000 0.000 x2
2 Cu 0.114 0.386 0.000 x4
3 Ni 0.000 0.500 0.500 x2
4 Ni 0.064 0.210 0.500 x8
5 Ni 0.179 0.679 0.240 x8